Calculated PXRD pattern of Ba2AlCu2F11 for Cu Kα, 1.54184 Å, from a structure optimized by DFT (GGA-PBE).

Lattice parameters (Å, degrees): 7.414 7.414 14.377 90.00 90.00 120.00
Atoms (fractional coordinates):
Ba (0.145, 0.015, 0.000)
Ba (0.506, 0.162, 0.467)
Ba (0.656, 0.494, 0.801)
Ba (0.838, 0.344, 0.134)
Ba (0.870, 0.855, 0.333)
Ba (0.985, 0.130, 0.667)
Al (0.173, 0.499, 0.872)
Al (0.326, 0.827, 0.205)
Al (0.501, 0.674, 0.539)
Cu (0.125, 0.435, 0.389)
Cu (0.310, 0.875, 0.722)
Cu (0.338, 0.318, 0.224)
Cu (0.565, 0.690, 0.056)
Cu (0.682, 0.020, 0.891)
Cu (0.980, 0.662, 0.557)
F (0.015, 0.758, 0.689)
F (0.056, 0.762, 0.178)
F (0.057, 0.145, 0.182)
F (0.068, 0.375, 0.982)
F (0.088, 0.943, 0.515)
F (0.124, 0.712, 0.888)
F (0.210, 0.556, 0.243)
F (0.238, 0.294, 0.845)
F (0.242, 0.257, 0.355)
F (0.266, 0.599, 0.752)
F (0.288, 0.411, 0.555)
F (0.307, 0.932, 0.315)
F (0.333, 0.734, 0.085)
F (0.346, 0.790, 0.576)
F (0.362, 0.146, 0.688)
F (0.401, 0.667, 0.418)
F (0.412, 0.405, 0.094)
F (0.424, 0.082, 0.150)
F (0.444, 0.654, 0.909)
F (0.539, 0.162, 0.929)
F (0.589, 0.876, 0.221)
F (0.595, 0.007, 0.760)
F (0.623, 0.461, 0.262)
F (0.625, 0.693, 0.648)
F (0.658, 0.576, 0.484)
F (0.706, 0.944, 0.512)
F (0.743, 0.985, 0.022)
F (0.783, 0.638, 0.021)
F (0.838, 0.377, 0.595)
F (0.854, 0.217, 0.354)
F (0.855, 0.912, 0.848)
F (0.918, 0.342, 0.817)
F (0.993, 0.588, 0.427)

Main lines, in order of falling intensity (15 to 90 degrees two-theta):
2θ 28.47, rel. 100, hkl 0 2 1
2θ 23.16, rel. 68, hkl 1 0 3
2θ 27.06, rel. 65, hkl 1 1 2
2θ 30.49, rel. 59, hkl 2 0 2
2θ 24.80, rel. 58, hkl 2 -1 1
2θ 39.18, rel. 50, hkl 2 1 2
2θ 49.15, rel. 46, hkl 2 2 0
2θ 45.07, rel. 35, hkl 3 -2 4
2θ 40.17, rel. 29, hkl 0 1 6
2θ 57.78, rel. 29, hkl 4 0 1

Calculated PXRD pattern of Ba2AlCuF9 for Cu Kα, 1.54184 Å, from a structure optimized by DFT (GGA-PBE).

Lattice parameters (Å, degrees): 5.494 7.446 9.418 90.00 90.91 90.00
Atoms (fractional coordinates):
Ba (0.238, 0.000, 0.055)
Ba (0.248, 0.228, 0.588)
Ba (0.752, 0.728, 0.412)
Ba (0.762, 0.500, 0.945)
Al (0.269, 0.704, 0.677)
Al (0.731, 0.204, 0.323)
Cu (0.247, 0.509, 0.232)
Cu (0.753, 0.009, 0.768)
F (0.016, 0.683, 0.173)
F (0.032, 0.886, 0.659)
F (0.035, 0.537, 0.694)
F (0.193, 0.356, 0.052)
F (0.242, 0.689, 0.482)
F (0.310, 0.734, 0.862)
F (0.491, 0.382, 0.357)
F (0.493, 0.034, 0.330)
F (0.495, 0.164, 0.828)
F (0.505, 0.664, 0.172)
F (0.507, 0.534, 0.670)
F (0.509, 0.882, 0.643)
F (0.690, 0.234, 0.138)
F (0.758, 0.189, 0.518)
F (0.807, 0.856, 0.948)
F (0.965, 0.037, 0.306)
F (0.968, 0.386, 0.341)
F (0.984, 0.183, 0.827)

Main lines, in order of falling intensity (15 to 90 degrees two-theta):
2θ 25.73, rel. 100, hkl 0 2 1
2θ 40.17, rel. 74, hkl 0 1 4
2θ 22.33, rel. 72, hkl 1 1 1
2θ 30.44, rel. 68, hkl 1 2 -1
2θ 24.71, rel. 67, hkl 1 0 -2
2θ 27.86, rel. 63, hkl 1 1 2
2θ 25.11, rel. 55, hkl 1 0 2
2θ 27.50, rel. 53, hkl 1 1 -2
2θ 41.87, rel. 53, hkl 2 2 -1
2θ 30.60, rel. 52, hkl 1 2 1

Calculated PXRD pattern of BaAlCu2O5 for Cu Kα, 1.54184 Å, from a structure optimized by DFT (GGA-PBE).

Lattice parameters (Å, degrees): 3.710 3.710 7.743 90.00 90.00 90.00
Atoms (fractional coordinates):
Ba (0.000, 0.000, 0.000)
Al (0.000, 0.000, 0.491)
Cu (0.500, 0.500, 0.267)
Cu (0.500, 0.500, 0.709)
O (0.000, 0.500, 0.327)
O (0.000, 0.500, 0.638)
O (0.500, 0.000, 0.327)
O (0.500, 0.000, 0.638)
O (0.500, 0.500, 0.981)

Main lines, in order of falling intensity (15 to 90 degrees two-theta):
2θ 33.45, rel. 100, hkl 1 0 2
2θ 34.18, rel. 39, hkl 1 1 0
2θ 60.73, rel. 35, hkl 2 1 2
2θ 49.11, rel. 31, hkl 2 0 0
2θ 26.64, rel. 31, hkl 1 0 1
2θ 59.33, rel. 24, hkl 1 1 4
2θ 34.76, rel. 20, hkl 0 0 3
2θ 36.15, rel. 19, hkl 1 1 1
2θ 61.56, rel. 13, hkl 2 0 3
2θ 71.98, rel. 9, hkl 2 2 0

Calculated PXRD pattern of Ba2AlCu3O7 for Cu Kα, 1.54184 Å, from a structure optimized by DFT (GGA-PBE).

Lattice parameters (Å, degrees): 3.695 3.842 11.861 90.00 90.00 90.00
Atoms (fractional coordinates):
Ba (0.000, 0.000, 0.183)
Ba (0.000, 0.000, 0.817)
Al (0.000, 0.000, 0.500)
Cu (0.500, 0.500, 0.000)
Cu (0.500, 0.500, 0.366)
Cu (0.500, 0.500, 0.634)
O (0.000, 0.500, 0.397)
O (0.000, 0.500, 0.603)
O (0.500, 0.000, 0.000)
O (0.500, 0.000, 0.396)
O (0.500, 0.000, 0.604)
O (0.500, 0.500, 0.159)
O (0.500, 0.500, 0.841)

Main lines, in order of falling intensity (15 to 90 degrees two-theta):
2θ 33.19, rel. 100, hkl 1 0 3
2θ 33.65, rel. 98, hkl 1 1 0
2θ 32.50, rel. 90, hkl 0 1 3
2θ 59.02, rel. 37, hkl 1 2 3
2θ 47.32, rel. 33, hkl 0 2 0
2θ 37.93, rel. 33, hkl 0 0 5
2θ 28.46, rel. 32, hkl 1 0 2
2θ 58.11, rel. 32, hkl 1 1 6
2θ 60.32, rel. 30, hkl 2 1 3
2θ 49.33, rel. 29, hkl 2 0 0

Calculated PXRD pattern of Ba2AlCu3O8 for Cu Kα, 1.54184 Å, from a structure optimized by DFT (GGA-PBE).

Lattice parameters (Å, degrees): 3.810 3.810 11.576 90.00 90.00 90.00
Atoms (fractional coordinates):
Ba (0.000, 0.000, 0.171)
Ba (0.000, 0.000, 0.829)
Al (0.000, 0.000, 0.500)
Cu (0.500, 0.500, 0.000)
Cu (0.500, 0.500, 0.356)
Cu (0.500, 0.500, 0.644)
O (0.000, 0.500, 0.000)
O (0.000, 0.500, 0.398)
O (0.000, 0.500, 0.602)
O (0.500, 0.000, 0.000)
O (0.500, 0.000, 0.398)
O (0.500, 0.000, 0.602)
O (0.500, 0.500, 0.183)
O (0.500, 0.500, 0.817)

Main lines, in order of falling intensity (15 to 90 degrees two-theta):
2θ 33.04, rel. 100, hkl 1 0 3
2θ 33.25, rel. 44, hkl 1 1 0
2θ 59.28, rel. 37, hkl 2 1 3
2θ 47.74, rel. 32, hkl 2 0 0
2θ 58.87, rel. 21, hkl 1 1 6
2θ 28.04, rel. 13, hkl 1 0 2
2θ 69.31, rel. 11, hkl 2 0 6
2θ 24.60, rel. 10, hkl 1 0 1
2θ 38.90, rel. 10, hkl 0 0 5
2θ 69.81, rel. 9, hkl 2 2 0

Calculated PXRD pattern of BaAlCuSnO5 for Cu Kα, 1.54184 Å, from a structure optimized by DFT (GGA-PBE).

Lattice parameters (Å, degrees): 3.830 3.830 8.630 90.00 90.00 90.00
Atoms (fractional coordinates):
Ba (0.000, 0.000, 0.000)
Al (0.000, 0.000, 0.392)
Cu (0.500, 0.500, 0.238)
Sn (0.500, 0.500, 0.644)
O (0.000, 0.500, 0.249)
O (0.000, 0.500, 0.541)
O (0.500, 0.000, 0.249)
O (0.500, 0.000, 0.541)
O (0.500, 0.500, 0.881)

Main lines, in order of falling intensity (15 to 90 degrees two-theta):
2θ 31.22, rel. 100, hkl 1 0 2
2θ 25.44, rel. 70, hkl 1 0 1
2θ 33.07, rel. 52, hkl 1 1 0
2θ 57.89, rel. 50, hkl 2 1 2
2θ 47.47, rel. 38, hkl 2 0 0
2θ 46.03, rel. 31, hkl 1 1 3
2θ 31.09, rel. 23, hkl 0 0 3
2θ 39.16, rel. 20, hkl 1 0 3
2θ 54.62, rel. 18, hkl 2 1 1
2θ 78.02, rel. 14, hkl 3 0 2

Calculated PXRD pattern of BaSrAl20Cu2O34 for Cu Kα, 1.54184 Å, from a structure optimized by DFT (GGA-PBE).

Lattice parameters (Å, degrees): 5.671 5.671 22.823 90.00 90.00 120.00
Atoms (fractional coordinates):
Ba (0.000, 0.000, 0.000)
Sr (0.667, 0.333, 0.499)
Al (0.000, 0.000, 0.424)
Al (0.000, 0.000, 0.575)
Al (0.000, 0.000, 0.729)
Al (0.005, 0.502, 0.359)
Al (0.165, 0.330, 0.146)
Al (0.165, 0.835, 0.146)
Al (0.169, 0.339, 0.858)
Al (0.169, 0.831, 0.858)
Al (0.333, 0.667, 0.254)
Al (0.333, 0.667, 0.752)
Al (0.498, 0.502, 0.359)
Al (0.498, 0.995, 0.359)
Al (0.502, 0.004, 0.645)
Al (0.502, 0.498, 0.645)
Al (0.661, 0.831, 0.858)
Al (0.667, 0.333, 0.076)
Al (0.667, 0.333, 0.230)
Al (0.667, 0.333, 0.924)
Al (0.670, 0.835, 0.146)
Al (0.996, 0.498, 0.645)
Cu (0.000, 0.000, 0.277)
Cu (0.667, 0.333, 0.777)
O (0.000, 0.000, 0.188)
O (0.000, 0.000, 0.500)
O (0.000, 0.000, 0.809)
O (0.018, 0.509, 0.202)
O (0.038, 0.519, 0.806)
O (0.175, 0.350, 0.701)
O (0.175, 0.825, 0.701)
O (0.185, 0.370, 0.307)
O (0.185, 0.815, 0.307)
O (0.322, 0.161, 0.899)
O (0.327, 0.163, 0.102)
O (0.333, 0.667, 0.111)
O (0.333, 0.667, 0.400)
O (0.333, 0.667, 0.610)
O (0.333, 0.667, 0.899)
O (0.343, 0.171, 0.600)
O (0.348, 0.174, 0.402)
O (0.481, 0.519, 0.806)
O (0.481, 0.962, 0.806)
O (0.491, 0.509, 0.202)
O (0.491, 0.982, 0.202)
O (0.630, 0.815, 0.307)
O (0.650, 0.825, 0.701)
O (0.667, 0.333, 0.000)
O (0.667, 0.333, 0.310)
O (0.667, 0.333, 0.687)
O (0.826, 0.174, 0.402)
O (0.826, 0.652, 0.402)
O (0.829, 0.171, 0.600)
O (0.829, 0.657, 0.600)
O (0.837, 0.163, 0.102)
O (0.837, 0.673, 0.102)
O (0.839, 0.161, 0.899)
O (0.839, 0.678, 0.899)

Main lines, in order of falling intensity (15 to 90 degrees two-theta):
2θ 32.98, rel. 100, hkl 1 0 7
2θ 35.35, rel. 86, hkl 1 1 4
2θ 31.55, rel. 58, hkl 1 1 0
2θ 57.10, rel. 45, hkl 2 1 7
2θ 65.88, rel. 44, hkl 2 2 0
2θ 19.68, rel. 40, hkl 0 1 2
2θ 18.48, rel. 32, hkl 0 1 1
2θ 43.89, rel. 31, hkl 2 0 6
2θ 41.77, rel. 30, hkl 2 0 5
2θ 58.21, rel. 30, hkl 2 0 11

Calculated PXRD pattern of Ba2AlTlCu2O7 for Cu Kα, 1.54184 Å, from a structure optimized by DFT (GGA-PBE).

Lattice parameters (Å, degrees): 3.753 3.753 12.930 90.00 90.00 90.00
Atoms (fractional coordinates):
Ba (0.000, 0.000, 0.213)
Ba (0.000, 0.000, 0.787)
Al (0.000, 0.000, 0.500)
Tl (0.500, 0.500, 0.000)
Cu (0.500, 0.500, 0.386)
Cu (0.500, 0.500, 0.614)
O (0.000, 0.000, 0.000)
O (0.000, 0.500, 0.404)
O (0.000, 0.500, 0.596)
O (0.500, 0.000, 0.404)
O (0.500, 0.000, 0.596)
O (0.500, 0.500, 0.164)
O (0.500, 0.500, 0.836)

Main lines, in order of falling intensity (15 to 90 degrees two-theta):
2θ 27.48, rel. 100, hkl 1 0 2
2θ 31.61, rel. 82, hkl 1 0 3
2θ 33.78, rel. 72, hkl 1 1 0
2θ 48.52, rel. 37, hkl 2 0 0
2θ 34.69, rel. 36, hkl 0 0 5
2θ 49.20, rel. 34, hkl 1 1 5
2θ 56.67, rel. 32, hkl 2 1 2
2θ 59.07, rel. 29, hkl 2 1 3
2θ 61.01, rel. 26, hkl 2 0 5
2θ 55.45, rel. 19, hkl 1 0 7

Calculated PXRD pattern of BaAlCu3Se4 for Cu Kα, 1.54184 Å, from a structure optimized by DFT (GGA-PBE).

Lattice parameters (Å, degrees): 6.202 6.202 6.202 90.00 90.00 90.00
Atoms (fractional coordinates):
Ba (0.000, 0.000, 0.000)
Al (0.500, 0.500, 0.500)
Cu (0.000, 0.500, 0.500)
Cu (0.500, 0.000, 0.500)
Cu (0.500, 0.500, 0.000)
Se (0.281, 0.281, 0.719)
Se (0.281, 0.719, 0.281)
Se (0.719, 0.281, 0.281)
Se (0.719, 0.719, 0.719)

Main lines, in order of falling intensity (15 to 90 degrees two-theta):
2θ 24.87, rel. 100, hkl 1 1 1
2θ 41.17, rel. 84, hkl 2 2 0
2θ 48.70, rel. 42, hkl 3 1 1
2θ 75.03, rel. 21, hkl 4 2 2
2θ 20.25, rel. 14, hkl 1 1 0
2θ 65.62, rel. 13, hkl 3 3 1
2θ 35.46, rel. 12, hkl 2 1 1
2θ 59.64, rel. 12, hkl 4 0 0
2θ 80.47, rel. 10, hkl 3 3 3
2θ 55.44, rel. 8, hkl 3 2 1

Calculated PXRD pattern of BaErAl3SiN4O3 for Cu Kα, 1.54184 Å, from a structure optimized by DFT (GGA-PBE).

Lattice parameters (Å, degrees): 6.138 6.138 10.148 90.00 90.00 120.00
Atoms (fractional coordinates):
Ba (0.333, 0.667, 0.000)
Ba (0.667, 0.333, 0.500)
Er (0.333, 0.667, 0.384)
Er (0.667, 0.333, 0.884)
Al (0.165, 0.331, 0.685)
Al (0.165, 0.835, 0.685)
Al (0.331, 0.165, 0.185)
Al (0.669, 0.835, 0.685)
Al (0.835, 0.165, 0.185)
Al (0.835, 0.669, 0.185)
Si (0.000, 0.000, 0.448)
Si (0.000, 0.000, 0.948)
N (0.000, 0.000, 0.266)
N (0.000, 0.000, 0.766)
N (0.154, 0.308, 0.504)
N (0.154, 0.846, 0.504)
N (0.308, 0.154, 0.004)
N (0.692, 0.846, 0.504)
N (0.846, 0.154, 0.004)
N (0.846, 0.692, 0.004)
O (0.021, 0.511, 0.740)
O (0.489, 0.511, 0.740)
O (0.489, 0.979, 0.740)
O (0.511, 0.021, 0.240)
O (0.511, 0.489, 0.240)
O (0.979, 0.489, 0.240)

Main lines, in order of falling intensity (15 to 90 degrees two-theta):
2θ 34.14, rel. 100, hkl 1 1 2
2θ 31.35, rel. 99, hkl 1 0 3
2θ 29.10, rel. 80, hkl 1 1 0
2θ 53.01, rel. 42, hkl 2 1 3
2θ 57.11, rel. 39, hkl 2 0 5
2θ 34.90, rel. 38, hkl 2 0 1
2θ 16.68, rel. 32, hkl 1 0 0
2θ 60.32, rel. 29, hkl 2 2 0
2θ 18.85, rel. 27, hkl 1 0 1
2θ 54.89, rel. 26, hkl 3 0 2